Calculated PXRD pattern of Sr2PaAgO6 for λ = 1.5418 Å (Cu Kα), from a GGA-PBE-relaxed structure.
Neutral-atom scattering factors, no anomalous dispersion.

Cell and atoms:
```
10
Lattice="5.681 -2.886 0.000 5.681 2.886 0.000 -2.705 0.000 4.978" Properties=species:S:1:pos:R:3 pbc="T T T"
Sr 2.252 0.000 1.048
Sr 6.403 0.000 3.930
Pa -1.353 0.000 2.489
Ag 5.681 0.000 0.000
O 4.406 1.389 0.810
O 0.655 0.000 2.891
O 4.250 1.389 4.168
O 4.406 -1.389 0.810
O 8.001 0.000 2.087
O 4.250 -1.389 4.168
```

Main lines, in order of rising 2θ (2θ from 10° to 80°):
2θ = 17.77°, I = 37; 2θ = 28.17°, I = 100; 2θ = 28.66°, I = 83; 2θ = 30.99°, I = 37; 2θ = 35.98°, I = 31; 2θ = 44.84°, I = 34